# Y3Au5
Simulated PXRD pattern, Cu Kα (weighted mean of Kα1 and Kα2). Input: a cell relaxed with PBE.

Principal peaks in the range 2θ from 5° to 70°, low angle first:
- 2θ 23.51, intensity 5
- 2θ 25.54, intensity 9
- 2θ 35.03, intensity 8
- 2θ 35.51, intensity 100
- 2θ 36.36, intensity 27
- 2θ 36.51, intensity 23
- 2θ 37.88, intensity 6
- 2θ 49.67, intensity 8
- 2θ 52.48, intensity 16
- 2θ 63.14, intensity 14
- 2θ 64.87, intensity 17
- 2θ 65.06, intensity 13

Structure:
a b c (Å): 7.342 9.845 4.941
angles (deg): 90.00 90.00 90.00
Fractional positions:
Y (0.000, 0.000, 0.000)
Y (0.000, 0.290, 0.500)
Y (0.000, 0.710, 0.500)
Y (0.500, 0.210, 0.500)
Y (0.500, 0.500, 0.000)
Y (0.500, 0.790, 0.500)
Au (0.000, 0.500, 0.000)
Au (0.208, 0.000, 0.500)
Au (0.250, 0.250, 0.000)
Au (0.250, 0.750, 0.000)
Au (0.292, 0.500, 0.500)
Au (0.500, 0.000, 0.000)
Au (0.708, 0.500, 0.500)
Au (0.750, 0.250, 0.000)
Au (0.750, 0.750, 0.000)
Au (0.792, 0.000, 0.500)

---

# Y3Au5
Simulated PXRD pattern, Cu Kα (weighted mean of Kα1 and Kα2). Input: a cell relaxed with PBE.

Principal peaks in the range 2θ from 5° to 70°, low angle first:
- 2θ 23.71, intensity 36
- 2θ 27.59, intensity 11
- 2θ 33.87, intensity 80
- 2θ 36.75, intensity 100
- 2θ 41.91, intensity 22
- 2θ 44.22, intensity 50
- 2θ 48.51, intensity 17
- 2θ 62.39, intensity 29
- 2θ 62.59, intensity 11
- 2θ 66.01, intensity 11
- 2θ 66.23, intensity 11
- 2θ 67.95, intensity 15

Structure:
a b c (Å): 7.466 7.466 3.753
angles (deg): 90.00 90.00 120.00
Fractional positions:
Y (0.000, 0.381, 0.000)
Y (0.381, 0.000, 0.000)
Y (0.619, 0.619, 0.000)
Au (0.000, 0.768, 0.500)
Au (0.232, 0.232, 0.500)
Au (0.333, 0.667, 0.500)
Au (0.667, 0.333, 0.500)
Au (0.768, 0.000, 0.500)

---

# YZn9Au2
Simulated PXRD pattern, Cu Kα (weighted mean of Kα1 and Kα2). Input: a cell relaxed with PBE.

Principal peaks in the range 2θ from 5° to 70°, low angle first:
- 2θ 15.22, intensity 50
- 2θ 22.52, intensity 27
- 2θ 23.42, intensity 28
- 2θ 30.72, intensity 27
- 2θ 32.71, intensity 65
- 2θ 33.35, intensity 30
- 2θ 37.07, intensity 57
- 2θ 37.43, intensity 44
- 2θ 39.95, intensity 39
- 2θ 43.50, intensity 44
- 2θ 44.12, intensity 100
- 2θ 45.98, intensity 80

Structure:
a b c (Å): 8.350 8.350 8.350
angles (deg): 99.90 99.90 131.01
Fractional positions:
Y (0.375, 0.625, 0.750)
Y (0.625, 0.375, 0.250)
Zn (0.125, 0.875, 0.250)
Zn (0.129, 0.550, 0.337)
Zn (0.129, 0.792, 0.578)
Zn (0.208, 0.287, 0.337)
Zn (0.208, 0.871, 0.922)
Zn (0.287, 0.208, 0.837)
Zn (0.287, 0.450, 0.078)
Zn (0.450, 0.287, 0.578)
Zn (0.450, 0.871, 0.163)
Zn (0.550, 0.129, 0.837)
Zn (0.550, 0.713, 0.422)
Zn (0.713, 0.550, 0.922)
Zn (0.713, 0.792, 0.163)
Zn (0.792, 0.129, 0.078)
Zn (0.792, 0.713, 0.663)
Zn (0.871, 0.208, 0.422)
Zn (0.871, 0.450, 0.663)
Zn (0.875, 0.125, 0.750)
Au (0.000, 0.000, 0.000)
Au (0.000, 0.000, 0.500)
Au (0.000, 0.500, 0.000)
Au (0.500, 0.000, 0.500)

---

# YZn12Au4
Simulated PXRD pattern, Cu Kα (weighted mean of Kα1 and Kα2). Input: a cell relaxed with PBE.

Principal peaks in the range 2θ from 5° to 70°, low angle first:
- 2θ 20.08, intensity 61
- 2θ 28.55, intensity 100
- 2θ 32.00, intensity 67
- 2θ 35.15, intensity 29
- 2θ 38.07, intensity 24
- 2θ 40.82, intensity 15
- 2θ 45.89, intensity 90
- 2θ 50.56, intensity 77
- 2θ 52.78, intensity 30
- 2θ 59.09, intensity 9
- 2θ 63.07, intensity 6
- 2θ 66.92, intensity 29

Structure:
a b c (Å): 7.659 7.659 7.659
angles (deg): 109.47 109.47 109.47
Fractional positions:
Y (0.000, 0.000, 0.000)
Zn (0.145, 0.501, 0.355)
Zn (0.145, 0.790, 0.645)
Zn (0.210, 0.355, 0.855)
Zn (0.355, 0.145, 0.501)
Zn (0.355, 0.855, 0.210)
Zn (0.499, 0.645, 0.855)
Zn (0.501, 0.355, 0.145)
Zn (0.645, 0.145, 0.790)
Zn (0.645, 0.855, 0.499)
Zn (0.790, 0.645, 0.145)
Zn (0.855, 0.210, 0.355)
Zn (0.855, 0.499, 0.645)
Au (0.000, 0.000, 0.500)
Au (0.000, 0.500, 0.000)
Au (0.500, 0.000, 0.000)
Au (0.500, 0.500, 0.500)

---

# Y3Zn4Au4
Simulated PXRD pattern, Cu Kα (weighted mean of Kα1 and Kα2). Input: a cell relaxed with PBE.

Principal peaks in the range 2θ from 5° to 70°, low angle first:
- 2θ 22.21, intensity 39
- 2θ 24.82, intensity 50
- 2θ 32.60, intensity 73
- 2θ 33.27, intensity 71
- 2θ 34.46, intensity 84
- 2θ 37.37, intensity 33
- 2θ 40.63, intensity 100
- 2θ 40.80, intensity 62
- 2θ 45.62, intensity 47
- 2θ 50.46, intensity 34
- 2θ 53.62, intensity 36
- 2θ 66.70, intensity 46

Structure:
a b c (Å): 3.617 4.423 14.405
angles (deg): 81.18 82.82 89.98
Fractional positions:
Y (0.000, 0.000, 0.000)
Y (0.145, 0.644, 0.712)
Y (0.855, 0.356, 0.288)
Zn (0.258, 0.259, 0.484)
Zn (0.404, 0.905, 0.191)
Zn (0.596, 0.095, 0.809)
Zn (0.742, 0.741, 0.516)
Au (0.311, 0.813, 0.375)
Au (0.451, 0.450, 0.099)
Au (0.549, 0.550, 0.901)
Au (0.689, 0.187, 0.625)

---

# ZnAu3
Simulated PXRD pattern, Cu Kα (weighted mean of Kα1 and Kα2). Input: a cell relaxed with PBE.

Principal peaks in the range 2θ from 5° to 70°, low angle first:
- 2θ 21.11, intensity 5
- 2θ 27.19, intensity 6
- 2θ 34.67, intensity 10
- 2θ 35.21, intensity 6
- 2θ 36.04, intensity 6
- 2θ 37.64, intensity 6
- 2θ 38.06, intensity 100
- 2θ 42.98, intensity 21
- 2θ 44.85, intensity 27
- 2θ 50.81, intensity 8
- 2θ 63.86, intensity 18
- 2θ 65.30, intensity 6

Structure:
a b c (Å): 17.315 17.315 17.315
angles (deg): 161.00 161.00 27.00
Fractional positions:
Zn (0.057, 0.307, 0.750)
Zn (0.193, 0.443, 0.750)
Zn (0.307, 0.057, 0.250)
Zn (0.443, 0.193, 0.250)
Zn (0.557, 0.807, 0.750)
Zn (0.693, 0.943, 0.750)
Zn (0.807, 0.557, 0.250)
Zn (0.943, 0.693, 0.250)
Au (0.003, 0.750, 0.753)
Au (0.057, 0.807, 0.615)
Au (0.065, 0.815, 0.250)
Au (0.185, 0.935, 0.250)
Au (0.193, 0.307, 0.250)
Au (0.250, 0.003, 0.753)
Au (0.250, 0.503, 0.253)
Au (0.307, 0.557, 0.115)
Au (0.315, 0.565, 0.750)
Au (0.435, 0.685, 0.750)
Au (0.443, 0.057, 0.750)
Au (0.497, 0.250, 0.747)
Au (0.503, 0.750, 0.253)
Au (0.557, 0.943, 0.250)
Au (0.565, 0.315, 0.250)
Au (0.685, 0.435, 0.250)
Au (0.693, 0.443, 0.885)
Au (0.750, 0.497, 0.747)
Au (0.750, 0.997, 0.247)
Au (0.807, 0.693, 0.750)
Au (0.815, 0.065, 0.750)
Au (0.935, 0.185, 0.750)
Au (0.943, 0.193, 0.385)
Au (0.997, 0.250, 0.247)

---

# ZnAu3
Simulated PXRD pattern, Cu Kα (weighted mean of Kα1 and Kα2). Input: a cell relaxed with PBE.

Principal peaks in the range 2θ from 5° to 70°, low angle first:
- 2θ 21.17, intensity 5
- 2θ 27.19, intensity 6
- 2θ 34.71, intensity 10
- 2θ 35.48, intensity 6
- 2θ 36.68, intensity 6
- 2θ 38.05, intensity 100
- 2θ 38.68, intensity 5
- 2θ 43.10, intensity 21
- 2θ 44.77, intensity 28
- 2θ 50.72, intensity 8
- 2θ 63.89, intensity 18
- 2θ 65.18, intensity 6

Structure:
a b c (Å): 8.870 8.870 5.722
angles (deg): 90.00 90.00 37.68
Fractional positions:
Zn (0.136, 0.136, 0.000)
Zn (0.364, 0.364, 0.500)
Zn (0.636, 0.636, 0.500)
Zn (0.864, 0.864, 0.000)
Au (0.002, 0.498, 0.750)
Au (0.119, 0.119, 0.500)
Au (0.182, 0.818, 0.819)
Au (0.318, 0.682, 0.319)
Au (0.381, 0.381, 0.000)
Au (0.498, 0.002, 0.250)
Au (0.502, 0.998, 0.750)
Au (0.619, 0.619, 0.000)
Au (0.682, 0.318, 0.681)
Au (0.818, 0.182, 0.181)
Au (0.881, 0.881, 0.500)
Au (0.998, 0.502, 0.250)

---

# ZnAu3
Simulated PXRD pattern, Cu Kα (weighted mean of Kα1 and Kα2). Input: a cell relaxed with PBE.

Principal peaks in the range 2θ from 5° to 70°, low angle first:
- 2θ 20.61, intensity 6
- 2θ 31.07, intensity 7
- 2θ 34.03, intensity 12
- 2θ 34.98, intensity 11
- 2θ 37.09, intensity 23
- 2θ 38.24, intensity 29
- 2θ 40.03, intensity 100
- 2θ 41.92, intensity 19
- 2θ 54.33, intensity 14
- 2θ 61.34, intensity 8
- 2θ 65.49, intensity 10
- 2θ 68.83, intensity 8

Structure:
a b c (Å): 3.023 9.415 4.848
angles (deg): 90.00 90.00 90.00
Fractional positions:
Zn (0.000, 0.000, 0.000)
Zn (0.500, 0.500, 0.500)
Au (0.000, 0.267, 0.384)
Au (0.000, 0.500, 0.981)
Au (0.000, 0.733, 0.384)
Au (0.500, 0.000, 0.481)
Au (0.500, 0.233, 0.884)
Au (0.500, 0.767, 0.884)

---

# ZnAu6
Simulated PXRD pattern, Cu Kα (weighted mean of Kα1 and Kα2). Input: a cell relaxed with PBE.

Principal peaks in the range 2θ from 5° to 70°, low angle first:
- 2θ 21.82, intensity 7
- 2θ 24.58, intensity 21
- 2θ 31.28, intensity 6
- 2θ 38.47, intensity 100
- 2θ 40.00, intensity 6
- 2θ 44.49, intensity 17
- 2θ 44.83, intensity 33
- 2θ 50.39, intensity 3
- 2θ 51.79, intensity 6
- 2θ 61.62, intensity 3
- 2θ 65.00, intensity 22
- 2θ 65.26, intensity 11

Structure:
a b c (Å): 4.044 4.044 8.146
angles (deg): 90.00 90.00 90.00
Fractional positions:
Zn (0.000, 0.000, 0.000)
Au (0.000, 0.000, 0.500)
Au (0.000, 0.500, 0.254)
Au (0.000, 0.500, 0.746)
Au (0.500, 0.000, 0.254)
Au (0.500, 0.000, 0.746)
Au (0.500, 0.500, 0.000)

---

# Zn5Au6
Simulated PXRD pattern, Cu Kα (weighted mean of Kα1 and Kα2). Input: a cell relaxed with PBE.

Principal peaks in the range 2θ from 5° to 70°, low angle first:
- 2θ 27.95, intensity 21
- 2θ 28.61, intensity 36
- 2θ 40.42, intensity 100
- 2θ 40.85, intensity 25
- 2θ 40.97, intensity 23
- 2θ 50.27, intensity 15
- 2θ 57.75, intensity 8
- 2θ 59.24, intensity 16
- 2θ 65.70, intensity 6
- 2θ 66.74, intensity 6
- 2θ 67.00, intensity 4
- 2θ 67.17, intensity 3

Structure:
a b c (Å): 7.665 7.665 7.665
angles (deg): 146.50 130.76 60.87
Fractional positions:
Zn (0.000, 0.000, 0.000)
Zn (0.167, 0.667, 0.500)
Zn (0.327, 0.327, 0.000)
Zn (0.673, 0.673, 0.000)
Zn (0.833, 0.333, 0.500)
Au (0.105, 0.843, 0.262)
Au (0.263, 0.500, 0.763)
Au (0.419, 0.157, 0.262)
Au (0.581, 0.843, 0.738)
Au (0.737, 0.500, 0.237)
Au (0.895, 0.157, 0.738)

---

# Zn3Au8
Simulated PXRD pattern, Cu Kα (weighted mean of Kα1 and Kα2). Input: a cell relaxed with PBE.

Principal peaks in the range 2θ from 5° to 70°, low angle first:
- 2θ 25.71, intensity 19
- 2θ 36.57, intensity 8
- 2θ 37.53, intensity 7
- 2θ 37.82, intensity 100
- 2θ 38.67, intensity 95
- 2θ 42.05, intensity 38
- 2θ 42.29, intensity 34
- 2θ 48.78, intensity 25
- 2θ 59.95, intensity 12
- 2θ 62.35, intensity 11
- 2θ 66.33, intensity 20
- 2θ 66.50, intensity 18

Structure:
a b c (Å): 5.201 5.201 10.888
angles (deg): 105.82 105.82 42.07
Fractional positions:
Zn (0.000, 0.000, 0.000)
Zn (0.092, 0.092, 0.637)
Zn (0.908, 0.908, 0.363)
Au (0.198, 0.198, 0.279)
Au (0.290, 0.290, 0.917)
Au (0.376, 0.376, 0.547)
Au (0.456, 0.456, 0.186)
Au (0.544, 0.544, 0.814)
Au (0.624, 0.624, 0.453)
Au (0.710, 0.710, 0.083)
Au (0.802, 0.802, 0.721)

---

# Zn4Au3
Simulated PXRD pattern, Cu Kα (weighted mean of Kα1 and Kα2). Input: a cell relaxed with PBE.

Principal peaks in the range 2θ from 5° to 70°, low angle first:
- 2θ 12.51, intensity 20
- 2θ 23.43, intensity 20
- 2θ 24.55, intensity 17
- 2θ 25.17, intensity 7
- 2θ 28.60, intensity 31
- 2θ 31.33, intensity 15
- 2θ 37.73, intensity 8
- 2θ 40.49, intensity 100
- 2θ 41.30, intensity 92
- 2θ 48.28, intensity 8
- 2θ 50.32, intensity 7
- 2θ 59.22, intensity 32

Structure:
a b c (Å): 7.528 7.528 7.528
angles (deg): 34.43 34.43 34.43
Fractional positions:
Zn (0.118, 0.118, 0.118)
Zn (0.372, 0.372, 0.372)
Zn (0.628, 0.628, 0.628)
Zn (0.882, 0.882, 0.882)
Au (0.251, 0.251, 0.251)
Au (0.500, 0.500, 0.500)
Au (0.749, 0.749, 0.749)

---

What is the formula in the seventh record? ZnAu3

---

Copy entry 11 word for word.
# Zn3Au8
Simulated PXRD pattern, Cu Kα (weighted mean of Kα1 and Kα2). Input: a cell relaxed with PBE.

Principal peaks in the range 2θ from 5° to 70°, low angle first:
- 2θ 25.71, intensity 19
- 2θ 36.57, intensity 8
- 2θ 37.53, intensity 7
- 2θ 37.82, intensity 100
- 2θ 38.67, intensity 95
- 2θ 42.05, intensity 38
- 2θ 42.29, intensity 34
- 2θ 48.78, intensity 25
- 2θ 59.95, intensity 12
- 2θ 62.35, intensity 11
- 2θ 66.33, intensity 20
- 2θ 66.50, intensity 18

Structure:
a b c (Å): 5.201 5.201 10.888
angles (deg): 105.82 105.82 42.07
Fractional positions:
Zn (0.000, 0.000, 0.000)
Zn (0.092, 0.092, 0.637)
Zn (0.908, 0.908, 0.363)
Au (0.198, 0.198, 0.279)
Au (0.290, 0.290, 0.917)
Au (0.376, 0.376, 0.547)
Au (0.456, 0.456, 0.186)
Au (0.544, 0.544, 0.814)
Au (0.624, 0.624, 0.453)
Au (0.710, 0.710, 0.083)
Au (0.802, 0.802, 0.721)